# Ce3TiPd12
Simulated powder X-ray diffraction pattern, copper Kα. Input: DFT lattice parameters and positions (GGA-PBE).
Peak positions follow from Bragg's law for the DFT cell and can differ from measured ones.

The 10 most intense peaks (5° ≤ 2θ ≤ 70°), most intense first:
2theta	Rel. int.
37.97	100
44.06	34
64.24	19
44.27	15
64.08	11
34.98	3
59.92	2
38.50	2
22.30	1
27.18	1

Structural model:
```
Ce3TiPd12
1.0
4.110 0.000 0.000
0.000 4.110 0.000
0.000 0.000 16.368
Ce Ti Pd
3 1 12
Cartesian
0.000 0.000 0.000 Ce
0.000 0.000 4.205 Ce
0.000 0.000 12.164 Ce
0.000 0.000 8.184 Ti
0.000 2.055 2.105 Pd
0.000 2.055 6.332 Pd
0.000 2.055 10.036 Pd
0.000 2.055 14.263 Pd
2.055 0.000 2.105 Pd
2.055 0.000 6.332 Pd
2.055 0.000 10.036 Pd
2.055 0.000 14.263 Pd
2.055 2.055 0.000 Pd
2.055 2.055 4.222 Pd
2.055 2.055 8.184 Pd
2.055 2.055 12.147 Pd
```

***

# Ba6MgSc2C2O6F14
Simulated powder X-ray diffraction pattern, copper Kα. Input: DFT lattice parameters and positions (GGA-PBE).
Peak positions follow from Bragg's law for the DFT cell and can differ from measured ones.

The 10 most intense peaks (5° ≤ 2θ ≤ 70°), most intense first:
2theta	Rel. int.
23.90	100
23.16	94
24.96	90
24.78	86
26.84	58
30.51	54
40.52	54
26.60	51
37.53	50
25.29	35

Structural model:
```
Ba6MgSc2C2O6F14
1.0
6.668 0.000 0.000
-0.240 8.831 0.000
-0.678 -1.201 8.898
Ba Mg Sc C O F
6 1 2 2 6 14
Cartesian
0.000 0.000 0.000 Ba
-0.239 -0.061 4.319 Ba
0.273 3.277 8.271 Ba
2.823 7.151 1.891 Ba
2.655 5.815 6.227 Ba
3.420 2.471 2.326 Ba
3.670 3.508 8.749 Mg
-0.147 5.189 3.145 Sc
3.025 0.439 7.226 Sc
-0.260 3.249 4.918 C
3.033 2.508 5.561 C
-0.213 2.272 5.741 O
0.168 4.448 5.219 O
2.706 2.629 6.843 O
3.104 3.519 4.801 O
3.270 1.289 5.168 O
5.953 3.106 3.693 O
0.029 6.806 1.772 F
0.864 5.855 8.237 F
1.504 0.565 2.263 F
1.206 6.610 4.046 F
1.575 4.495 2.333 F
1.518 -0.615 6.359 F
1.493 0.843 8.635 F
3.051 7.616 8.497 F
4.595 -0.749 6.358 F
4.912 0.262 2.226 F
4.530 1.292 8.397 F
4.828 6.245 3.739 F
4.748 4.788 7.698 F
5.696 4.377 1.374 F
```

***

# Al2CrTcH
Simulated powder X-ray diffraction pattern, copper Kα. Input: DFT lattice parameters and positions (GGA-PBE).
Peak positions follow from Bragg's law for the DFT cell and can differ from measured ones.

The 10 most intense peaks (5° ≤ 2θ ≤ 70°), most intense first:
2theta	Rel. int.
40.32	100
42.85	43
29.94	28
26.37	18
21.05	15
62.21	13
51.02	11
54.29	10
33.99	8
63.24	6

Structural model:
```
Al2CrTcH
1.0
4.221 0.000 0.000
0.000 4.221 0.000
0.000 0.000 3.379
Al Cr Tc H
2 1 1 1
Cartesian
0.000 2.110 0.000 Al
2.110 0.000 0.000 Al
0.000 0.000 1.690 Cr
2.110 2.110 1.690 Tc
2.110 2.110 0.000 H
```

***

# CeGaH8Rh4
Simulated powder X-ray diffraction pattern, copper Kα. Input: DFT lattice parameters and positions (GGA-PBE).
Peak positions follow from Bragg's law for the DFT cell and can differ from measured ones.

The 10 most intense peaks (5° ≤ 2θ ≤ 70°), most intense first:
2theta	Rel. int.
36.82	100
36.23	79
38.11	60
32.05	51
38.00	50
63.90	34
30.69	32
59.47	27
67.04	27
58.64	26

Structural model:
```
CeGaH8Rh4
1.0
2.914 1.682 4.469
-2.914 1.682 4.469
0.000 -3.364 4.469
Ce Ga H Rh
1 1 8 4
Cartesian
0.000 0.000 0.000 Ce
0.000 0.000 8.097 Ga
0.000 -2.016 6.629 H
-1.746 1.008 6.629 H
0.000 0.000 5.126 H
-1.109 -0.640 9.703 H
0.000 0.000 11.169 H
1.109 -0.640 9.703 H
0.000 1.281 9.703 H
1.746 1.008 6.629 H
-1.435 -0.829 6.080 Rh
0.000 0.000 3.300 Rh
1.435 -0.829 6.080 Rh
0.000 1.657 6.080 Rh
```

***

# Tb14NdY
Simulated powder X-ray diffraction pattern, copper Kα. Input: DFT lattice parameters and positions (GGA-PBE).
Peak positions follow from Bragg's law for the DFT cell and can differ from measured ones.

The 10 most intense peaks (5° ≤ 2θ ≤ 70°), most intense first:
2theta	Rel. int.
32.76	100
29.81	39
30.99	34
60.85	29
50.96	25
37.22	22
56.26	21
61.91	16
49.19	10
28.76	9

Structural model:
```
Tb14NdY
1.0
11.542 0.000 0.000
0.000 3.584 6.208
0.000 -3.584 6.208
Tb Nd Y
14 1 1
Cartesian
0.000 0.000 0.000 Tb
0.000 -1.793 3.107 Tb
0.000 1.793 3.107 Tb
0.000 0.000 6.208 Tb
2.867 -1.792 7.238 Tb
2.867 1.792 7.238 Tb
2.871 0.000 4.139 Tb
2.884 0.000 10.348 Tb
5.771 -1.792 5.169 Tb
5.771 1.792 5.169 Tb
8.658 0.000 10.348 Tb
8.671 0.000 4.139 Tb
8.674 -1.792 7.238 Tb
8.674 1.792 7.238 Tb
5.771 0.000 2.063 Nd
5.771 0.000 8.273 Y
```

***

# Ti3InH
Simulated powder X-ray diffraction pattern, copper Kα. Input: DFT lattice parameters and positions (GGA-PBE).
Peak positions follow from Bragg's law for the DFT cell and can differ from measured ones.

The 10 most intense peaks (5° ≤ 2θ ≤ 70°), most intense first:
2theta	Rel. int.
37.23	100
37.66	97
40.22	86
13.82	29
49.57	21
27.97	19
65.71	17
65.61	17
31.73	14
57.55	13

Structural model:
```
Ti3InH
1.0
4.832 0.000 0.000
0.000 6.406 0.000
-0.758 0.000 4.781
Ti In H
6 2 2
Cartesian
1.008 0.000 1.171 Ti
1.008 3.065 1.173 Ti
0.668 1.538 3.478 Ti
3.406 1.538 1.304 Ti
3.066 0.000 3.610 Ti
3.066 3.065 3.608 Ti
0.644 4.712 3.561 In
3.430 4.712 1.220 In
0.000 1.588 0.000 H
2.416 0.619 0.000 H
```